The following is a theoretical X-ray diffraction stick pattern of Mn2RuC6N6. It was derived from a GGA-PBE-relaxed structure, using Cu Kα (λ = 1.5418 Å).

Cell and atoms:
```
Mn2RuC6N6
1.0
6.087 0.000 0.000
-3.043 5.271 0.000
0.000 0.000 6.751
Mn Ru C N
2 1 6 6
Direct
0.333 0.667 0.000
0.667 0.333 0.000
0.000 0.000 0.500
0.000 0.256 0.687
0.000 0.744 0.313
0.256 0.000 0.687
0.256 0.256 0.313
0.744 0.000 0.313
0.744 0.744 0.687
0.000 0.388 0.817
0.000 0.612 0.183
0.388 0.000 0.817
0.388 0.388 0.183
0.612 0.000 0.183
0.612 0.612 0.817
```

Largest 10 diffraction maxima, most intense first, 10 to 90 degrees two-theta:
| d [Å] | 2theta | Rel. int. |
| --- | --- | --- |
| 4.155 | 21.4 | 100 |
| 2.260 | 39.9 | 40 |
| 1.911 | 47.6 | 17 |
| 3.043 | 29.3 | 17 |
| 2.455 | 36.6 | 15 |
| 2.775 | 32.3 | 11 |
| 1.757 | 52.0 | 11 |
| 1.711 | 53.5 | 11 |
| 1.492 | 62.2 | 9 |
| 1.429 | 65.3 | 9 |

=====

The following is a theoretical X-ray diffraction stick pattern of CsRb2LaI6. It was derived from a GGA-PBE-relaxed structure, using Cu Kα (λ = 1.5418 Å).

Cell and atoms:
```
CsRb2LaI6
1.0
4.580 2.644 7.996
-4.580 2.644 7.996
0.000 -5.289 7.996
Cs Rb La I
1 2 1 6
Direct
0.000 0.000 0.000
0.202 0.202 0.202
0.713 0.713 0.713
0.510 0.510 0.510
0.162 0.406 0.750
0.321 0.865 0.595
0.406 0.750 0.162
0.595 0.321 0.865
0.750 0.162 0.406
0.865 0.595 0.321
```

Largest 10 diffraction maxima, most intense first, 10 to 90 degrees two-theta:
| d [Å] | 2theta | Rel. int. |
| --- | --- | --- |
| 3.974 | 22.4 | 100 |
| 3.012 | 29.7 | 67 |
| 2.644 | 33.9 | 46 |
| 6.617 | 13.4 | 38 |
| 2.682 | 33.4 | 27 |
| 3.308 | 27.0 | 27 |
| 2.304 | 39.1 | 24 |
| 4.784 | 18.5 | 17 |
| 1.987 | 45.7 | 16 |
| 1.742 | 52.5 | 14 |

=====

The following is a theoretical X-ray diffraction stick pattern of Y2Co2Ge. It was derived from a GGA-PBE-relaxed structure, using Cu Kα (λ = 1.5418 Å).

Cell and atoms:
```
Y2Co2Ge
1.0
4.632 -2.697 0.000
4.632 2.697 0.000
-1.723 0.000 7.291
Y Co Ge
4 4 2
Direct
0.004 0.291 0.147
0.291 0.004 0.647
0.709 0.996 0.353
0.996 0.709 0.853
0.220 0.502 0.499
0.498 0.780 0.001
0.502 0.220 0.999
0.780 0.498 0.501
0.371 0.629 0.250
0.629 0.371 0.750
```

Largest 10 diffraction maxima, most intense first, 10 to 90 degrees two-theta:
| d [Å] | 2theta | Rel. int. |
| --- | --- | --- |
| 2.265 | 39.8 | 100 |
| 2.530 | 35.5 | 94 |
| 2.134 | 42.3 | 80 |
| 2.561 | 35.0 | 66 |
| 2.368 | 38.0 | 57 |
| 2.285 | 39.4 | 51 |
| 2.326 | 38.7 | 50 |
| 2.645 | 33.9 | 46 |
| 2.151 | 42.0 | 37 |
| 1.340 | 70.3 | 32 |

=====

The following is a theoretical X-ray diffraction stick pattern of Li9Al4. It was derived from a GGA-PBE-relaxed structure, using Cu Kα (λ = 1.5418 Å).

Cell and atoms:
```
Li9Al4
1.0
9.329 -2.250 0.000
9.329 2.250 0.000
-1.415 0.000 5.115
Li Al
9 4
Direct
0.000 0.000 0.000
0.085 0.085 0.641
0.233 0.233 0.837
0.309 0.309 0.473
0.456 0.456 0.671
0.544 0.544 0.329
0.691 0.691 0.527
0.767 0.767 0.163
0.915 0.915 0.359
0.152 0.152 0.220
0.387 0.387 0.069
0.613 0.613 0.931
0.848 0.848 0.780
```

Largest 10 diffraction maxima, most intense first, 10 to 90 degrees two-theta:
| d [Å] | 2theta | Rel. int. |
| --- | --- | --- |
| 2.271 | 39.7 | 100 |
| 2.263 | 39.8 | 98 |
| 4.495 | 19.7 | 90 |
| 3.937 | 22.6 | 60 |
| 2.250 | 40.1 | 54 |
| 3.219 | 27.7 | 53 |
| 2.296 | 39.2 | 51 |
| 5.115 | 17.3 | 45 |
| 1.607 | 57.3 | 33 |
| 1.303 | 72.5 | 32 |